(1)
This entry pairs a crystal structure of K4MgCu3F12 with its theoretical X-ray diffraction stick pattern. Radiation: copper Kα. Structure: a crystal structure in Alexandria, relaxed with GGA-PBE.
No peak broadening, texture or thermal motion is included.

Cell and atoms:
```
data_K4MgCu3F12
_chemical_formula_sum 'K8 Mg2 Cu6 F24'
_space_group_name_H-M_alt 'C m m m'
_space_group_IT_number 65
_space_group_name_Hall '-C 2 2'
_cell_length_a 8.116
_cell_length_b 8.123
_cell_length_c 8.205
_cell_angle_alpha 90.00
_cell_angle_beta 90.00
_cell_angle_gamma 90.00
loop_
_atom_site_label
_atom_site_type_symbol
_atom_site_fract_x
_atom_site_fract_y
_atom_site_fract_z
K1 K 0.250 0.250 0.247
Mg1 Mg 0.000 0.000 0.500
Cu1 Cu 0.000 0.000 0.000
Cu2 Cu 0.000 0.500 0.000
Cu3 Cu 0.000 0.500 0.500
F1 F 0.000 0.000 0.254
F2 F 0.000 0.250 0.000
F3 F 0.000 0.250 0.500
F4 F 0.000 0.500 0.243
F5 F 0.248 0.000 0.000
F6 F 0.250 0.000 0.500
```

Largest 10 diffraction maxima, low angle first, 15° ≤ 2θ ≤ 90°:
(2 0 0), 21.89 deg, 4.060 Å, rel. 26; (2 0 2), 30.99 deg, 2.886 Å, rel. 100; (2 2 0), 31.16 deg, 2.871 Å, rel. 49; (0 0 4), 44.15 deg, 2.051 Å, rel. 34; (4 0 0), 44.64 deg, 2.030 Å, rel. 67; (2 2 4), 55.02 deg, 1.669 Å, rel. 18; (4 2 2), 55.34 deg, 1.660 Å, rel. 36; (4 0 4), 64.59 deg, 1.443 Å, rel. 37; (4 4 0), 64.97 deg, 1.435 Å, rel. 18; (4 4 4), 81.92 deg, 1.176 Å, rel. 17

(2)
This entry pairs a crystal structure of K4MgCu3F12 with its theoretical X-ray diffraction stick pattern. Radiation: copper Kα. Structure: a crystal structure in Alexandria, relaxed with GGA-PBE.
No peak broadening, texture or thermal motion is included.

Cell and atoms:
```
data_K4MgCu3F12
_chemical_formula_sum 'K8 Mg2 Cu6 F24'
_space_group_name_H-M_alt 'C m m m'
_space_group_IT_number 65
_space_group_name_Hall '-C 2 2'
_cell_length_a 8.119
_cell_length_b 16.300
_cell_length_c 4.075
_cell_angle_alpha 90.00
_cell_angle_beta 90.00
_cell_angle_gamma 90.00
loop_
_atom_site_label
_atom_site_type_symbol
_atom_site_fract_x
_atom_site_fract_y
_atom_site_fract_z
K1 K 0.248 0.126 0.000
Mg1 Mg 0.000 0.500 0.500
Cu1 Cu 0.000 0.000 0.500
Cu2 Cu 0.000 0.251 0.500
F1 F 0.000 0.000 0.000
F2 F 0.000 0.127 0.500
F3 F 0.000 0.251 0.000
F4 F 0.000 0.377 0.500
F5 F 0.000 0.500 0.000
F6 F 0.250 0.000 0.500
F7 F 0.250 0.250 0.500
```

Largest 10 diffraction maxima, low angle first, 15° ≤ 2θ ≤ 90°:
(2 0 0), 21.84 deg, 4.070 Å, rel. 27; (2 4 0), 31.08 deg, 2.878 Å, rel. 100; (0 0 2), 44.47 deg, 2.037 Å, rel. 45; (4 0 0), 44.64 deg, 2.030 Å, rel. 22; (2 4 2), 55.25 deg, 1.662 Å, rel. 24; (4 4 1), 55.37 deg, 1.659 Å, rel. 12; (0 8 2), 64.70 deg, 1.441 Å, rel. 12; (4 0 2), 64.84 deg, 1.438 Å, rel. 24; (2 12 0), 73.51 deg, 1.288 Å, rel. 10; (4 8 2), 82.02 deg, 1.175 Å, rel. 11

(3)
This entry pairs a crystal structure of K2NaCuF4 with its theoretical X-ray diffraction stick pattern. Radiation: copper Kα. Structure: a crystal structure in Alexandria, relaxed with GGA-PBE.
No peak broadening, texture or thermal motion is included.

Cell and atoms:
```
data_K2NaCuF4
_chemical_formula_sum 'K8 Na4 Cu4 F16'
_space_group_name_H-M_alt 'C m c m'
_space_group_IT_number 63
_space_group_name_Hall '-C 2c 2'
_cell_length_a 3.536
_cell_length_b 11.994
_cell_length_c 13.077
_cell_angle_alpha 90.00
_cell_angle_beta 90.00
_cell_angle_gamma 90.00
loop_
_atom_site_label
_atom_site_type_symbol
_atom_site_fract_x
_atom_site_fract_y
_atom_site_fract_z
K1 K 0.000 0.135 0.048
Na1 Na 0.000 0.371 0.250
Cu1 Cu 0.000 0.354 0.750
F1 F 0.000 0.050 0.250
F2 F 0.000 0.222 0.642
F3 F 0.000 0.500 0.000
```

Largest 10 diffraction maxima, low angle first, 15° ≤ 2θ ≤ 90°:
(0 2 1), 16.26 deg, 5.451 Å, rel. 66; (0 0 4), 27.28 deg, 3.269 Å, rel. 33; (1 1 2), 29.68 deg, 3.010 Å, rel. 26; (0 4 0), 29.80 deg, 2.999 Å, rel. 18; (1 1 3), 33.48 deg, 2.677 Å, rel. 18; (1 3 2), 36.61 deg, 2.455 Å, rel. 100; (0 2 5), 37.52 deg, 2.397 Å, rel. 37; (1 5 3), 50.52 deg, 1.807 Å, rel. 25; (2 0 0), 51.71 deg, 1.768 Å, rel. 19; (1 7 2), 61.83 deg, 1.501 Å, rel. 19